LiV2P3O12: theoretical powder X-ray diffraction pattern (Cu Ka), based on a crystal structure in Alexandria, relaxed with PBE+U.
Peak positions follow from Bragg's law for the DFT cell and can differ from measured ones.

Structure:
Lattice parameters (Å, degrees): 8.522 8.522 8.522 60.53 60.53 60.53
Positions (direct):
1 Li 0.000 0.000 0.000
2 Li 0.500 0.500 0.500
3 V 0.141 0.141 0.141
4 V 0.359 0.359 0.359
5 V 0.641 0.641 0.641
6 V 0.859 0.859 0.859
7 P 0.040 0.750 0.460
8 P 0.250 0.540 0.960
9 P 0.460 0.040 0.750
10 P 0.540 0.960 0.250
11 P 0.750 0.460 0.040
12 P 0.960 0.250 0.540
13 O 0.003 0.807 0.623
14 O 0.057 0.916 0.267
15 O 0.084 0.733 0.943
16 O 0.123 0.307 0.503
17 O 0.193 0.377 0.997
18 O 0.233 0.584 0.443
19 O 0.267 0.057 0.916
20 O 0.307 0.503 0.123
21 O 0.377 0.997 0.193
22 O 0.416 0.557 0.767
23 O 0.443 0.233 0.584
24 O 0.497 0.877 0.693
25 O 0.503 0.123 0.307
26 O 0.557 0.767 0.416
27 O 0.584 0.443 0.233
28 O 0.623 0.003 0.807
29 O 0.693 0.497 0.877
30 O 0.733 0.943 0.084
31 O 0.767 0.416 0.557
32 O 0.807 0.623 0.003
33 O 0.877 0.693 0.497
34 O 0.916 0.267 0.057
35 O 0.943 0.084 0.733
36 O 0.997 0.193 0.377

Peak list (8 most intense, 10° ≤ 2θ ≤ 90°, sorted by position)
14.64°, I 18
20.68°, I 25
20.85°, I 42
24.38°, I 100
29.53°, I 30
32.12°, I 17
33.22°, I 24
56.73°, I 18